Tl2Mo: computed powder diffraction line list (Cu Kα (λ = 1.5418 Å)), based on a crystal structure in Alexandria, relaxed with PBE.
No peak broadening, texture or thermal motion is included.

Atomic structure:
```
data_Tl2Mo
_cell_length_a 10.680
_cell_length_b 3.281
_cell_length_c 8.882
_cell_angle_alpha 90.00
_cell_angle_beta 105.08
_cell_angle_gamma 90.00
_space_group_name_H-M_alt 'C 1 m 1'
_space_group_IT_number 8
loop_
_space_group_symop_operation_xyz
'x,y,z'
'x,-y,z'
'x+1/2,y+1/2,z'
'x+1/2,-y+1/2,z'
loop_
_atom_site_label
_atom_site_type_symbol
_atom_site_fract_x
_atom_site_fract_y
_atom_site_fract_z
Tl1 Tl 0.000 0.000 0.000
Tl2 Tl 0.083 0.000 0.418
Tl3 Tl 0.283 0.500 0.243
Tl4 Tl 0.403 0.000 0.651
Mo1 Mo 0.188 0.500 0.729
Mo2 Mo 0.251 0.000 0.932
```

Top 6 peaks for 2θ from 10° to 90°, low angle first:
| 2θ (°) | I_rel | index |
| --- | --- | --- |
| 30.38 | 75.1 | 2 0 2 |
| 31.24 | 65.5 | 0 0 3 |
| 31.59 | 67.4 | 2 0 -3 |
| 33.59 | 89.4 | 4 0 -1 |
| 34.13 | 100.0 | 1 1 -2 |
| 41.25 | 47.5 | 3 1 1 |